The following is a computed powder X-ray diffraction pattern of NaHf2TiF11. It was derived from DFT lattice parameters and positions (PBE), using Cu Kα (weighted mean of Kα1 and Kα2).
Neutral-atom scattering factors, no anomalous dispersion.

Structural model:
```
NaHf2TiF11
1.0
4.6217 -3.4321 0.0000
4.6217 3.4321 0.0000
-3.4499 0.0000 7.0260
Na Hf Ti F
1 2 1 11
direct
0.0000 0.0000 0.0000
0.4972 0.4972 0.7734
0.5037 0.5037 0.2408
0.0004 0.0004 0.5067
0.1982 0.7772 0.7011
0.2244 0.8019 0.3135
0.2522 0.2522 0.6524
0.2680 0.2680 0.1162
0.3333 0.6686 0.0072
0.4994 0.4994 0.5066
0.6686 0.3333 0.0072
0.7330 0.7330 0.8950
0.7488 0.7488 0.3620
0.7772 0.1982 0.7011
0.8019 0.2244 0.3135
```

Peak list (12 most intense, 10° ≤ 2θ ≤ 80°, low angle first)
| d [Å] | 2θ (°) | I (rel.) |
| --- | --- | --- |
| 5.289 | 16.76 | 1000 |
| 4.149 | 21.42 | 745 |
| 3.566 | 24.97 | 171 |
| 3.513 | 25.35 | 155 |
| 3.432 | 25.96 | 368 |
| 3.399 | 26.22 | 732 |
| 2.648 | 33.85 | 303 |
| 2.074 | 43.64 | 189 |
| 1.975 | 45.95 | 248 |
| 1.784 | 51.22 | 156 |
| 1.776 | 51.46 | 206 |
| 1.757 | 52.04 | 159 |